Theoretical powder XRD pattern
Compound: Cs4Rb2ZnCoO5
Radiation: CuKα
Structure: a structure optimized by DFT (PBE+U)

Peak list (10 most intense, 5 to 70 degrees two-theta, by angle)
d_spacing  intensity
3.357  20.5
3.198  30.4
3.121  78.9
3.076  100.0
3.043  53.1
2.785  25.0
2.662  21.1
2.441  50.1
1.962  21.1
1.905  20.3

Atomic structure:
```
data_Cs4Rb2ZnCoO5
_chemical_formula_sum 'Cs4 Rb2 Zn1 Co1 O5'
_symmetry_space_group_name_H-M 'P 1'
_symmetry_Int_Tables_number 1
_cell_length_a 7.097
_cell_length_b 7.097
_cell_length_c 7.156
_cell_angle_alpha 92.52
_cell_angle_beta 92.52
_cell_angle_gamma 118.11
loop_
_symmetry_equiv_pos_as_xyz
'x,y,z'
loop_
_atom_site_label
_atom_site_fract_x
_atom_site_fract_y
_atom_site_fract_z
Cs1 0.000 0.000 0.000
Cs2 0.309 0.309 0.628
Cs3 0.416 0.895 0.305
Cs4 0.895 0.416 0.305
Rb1 0.440 0.872 0.809
Rb2 0.872 0.440 0.809
Zn1 0.471 0.471 0.109
Co1 0.862 0.862 0.502
O1 0.074 0.808 0.594
O2 0.229 0.500 0.021
O3 0.500 0.229 0.021
O4 0.699 0.699 0.270
O5 0.808 0.074 0.594
```